Entry 1:
Diffraction record for Tb3Nd2Sm9. The powder diffractogram is theoretical, not measured: it uses a DFT-relaxed cell (PBE, Alexandria) and CuKα.
No peak broadening, texture or thermal motion is included.

Main lines, in order of falling intensity (10 to 90 degrees two-theta):
hkl  2theta  Rel. int.
2 1 2  32.67  100.0
2 1 1  30.61  65.0
2 0 3  29.86  40.3
1 4 0  53.06  28.1
0 0 4  25.96  26.1
1 0 5  34.58  23.0
2 1 3  35.88  21.1
1 3 5  53.45  16.8
1 4 4  59.99  14.1
4 2 2  63.71  13.6

Structural model:
```
data_Tb3Nd2Sm9
_chemical_formula_sum 'Tb6 Nd4 Sm18'
_cell_length_a 9.1322
_cell_length_b 9.1322
_cell_length_c 13.7330
_cell_angle_alpha 90.00
_cell_angle_beta 90.00
_cell_angle_gamma 120.00
_space_group_name_H-M_alt 'P 63/m'
_space_group_IT_number 176
_space_group_name_Hall '-P 6c'
loop_
_atom_site_label
_atom_site_fract_x
_atom_site_fract_y
_atom_site_fract_z
Tb1 0.0798 0.2498 0.2500
Nd1 0.3333 0.6667 0.1392
Sm1 0.0837 0.4822 0.7500
Sm2 0.1297 0.7229 0.5414
```



Entry 2:
Diffraction record for Tb3Nd4Sm4. The powder diffractogram is theoretical, not measured: it uses a DFT-relaxed cell (PBE, Alexandria) and CuKα.
No peak broadening, texture or thermal motion is included.

Main lines, in order of falling intensity (10 to 90 degrees two-theta):
hkl  2theta  Rel. int.
1 1 4  30.87  100.0
0 3 3  30.61  47.3
1 2 1  31.09  43.7
1 5 4  56.90  39.9
0 0 8  32.70  22.9
1 2 7  42.48  20.6
1 3 2  38.38  15.2
0 3 5  34.81  14.3
2 3 3  59.72  14.2
2 0 0  49.95  13.6

Structural model:
```
data_Tb3Nd4Sm4
_chemical_formula_sum 'Tb6 Nd8 Sm8'
_cell_length_a 3.652
_cell_length_b 9.561
_cell_length_c 21.906
_cell_angle_alpha 90.00
_cell_angle_beta 90.00
_cell_angle_gamma 90.00
_space_group_name_H-M_alt 'I m m m'
_space_group_IT_number 71
_space_group_name_Hall '-I 2 2'
loop_
_atom_site_label
_atom_site_fract_x
_atom_site_fract_y
_atom_site_fract_z
Tb1 0.000 0.000 0.000
Tb2 0.000 0.500 0.107
Nd1 0.000 0.324 0.356
Sm1 0.000 0.000 0.261
Sm2 0.000 0.185 0.500
```



Entry 3:
Diffraction record for Tb2Nd7Sm3. The powder diffractogram is theoretical, not measured: it uses a DFT-relaxed cell (PBE, Alexandria) and CuKα.
No peak broadening, texture or thermal motion is included.

Main lines, in order of falling intensity (10 to 90 degrees two-theta):
hkl  2theta  Rel. int.
1 1 2  30.56  100.0
1 0 -6  30.91  81.2
2 0 0  30.02  50.3
1 0 6  32.50  47.1
2 0 -1  30.12  43.8
1 1 -4  33.94  40.0
0 0 6  27.88  30.2
1 1 -3  31.68  27.1
3 1 1  53.03  26.4
0 2 0  50.21  21.0

Structural model:
```
data_Tb2Nd7Sm3
_chemical_formula_sum 'Tb2 Nd7 Sm3'
_cell_length_a 5.961
_cell_length_b 3.634
_cell_length_c 19.236
_cell_angle_alpha 90.00
_cell_angle_beta 93.32
_cell_angle_gamma 90.00
_space_group_name_H-M_alt 'P 1 2/m 1'
_space_group_IT_number 10
loop_
_space_group_symop_operation_xyz
'x,y,z'
'-x,-y,-z'
'-x,y,-z'
'x,-y,z'
loop_
_atom_site_label
_atom_site_fract_x
_atom_site_fract_y
_atom_site_fract_z
Tb1 0.207 0.000 0.296
Nd1 0.181 0.500 0.145
Nd2 0.243 0.000 0.465
Nd3 0.317 0.000 0.818
Nd4 0.500 0.500 0.000
Sm1 0.000 0.000 0.000
Sm2 0.283 0.500 0.633
```



Entry 4:
Diffraction record for Tb4NdSm10. The powder diffractogram is theoretical, not measured: it uses a DFT-relaxed cell (PBE, Alexandria) and CuKα.
No peak broadening, texture or thermal motion is included.

Main lines, in order of falling intensity (10 to 90 degrees two-theta):
hkl  2theta  Rel. int.
4 2 0  32.51  100.0
7 1 2  58.01  38.4
2 1 1  19.74  26.8
2 6 0  46.64  18.4
5 0 1  38.33  14.9
1 3 0  22.83  12.4
8 4 0  68.10  11.8
10 0 0  77.46  11.0
6 3 1  51.12  6.5
1 3 6  77.60  5.5

Structural model:
```
data_Tb4NdSm10
_chemical_formula_sum 'Tb8 Nd2 Sm20'
_cell_length_a 12.323
_cell_length_b 12.323
_cell_length_c 7.780
_cell_angle_alpha 90.00
_cell_angle_beta 90.00
_cell_angle_gamma 90.00
_space_group_name_H-M_alt 'I 4/m'
_space_group_IT_number 87
_space_group_name_Hall '-I 4'
loop_
_atom_site_label
_atom_site_fract_x
_atom_site_fract_y
_atom_site_fract_z
Tb1 0.100 0.300 0.000
Nd1 0.000 0.000 0.500
Sm1 0.000 0.500 0.250
Sm2 0.100 0.798 0.249
```



Entry 5:
Diffraction record for Tb5NdSmTh2. The powder diffractogram is theoretical, not measured: it uses a DFT-relaxed cell (PBE, Alexandria) and CuKα.
No peak broadening, texture or thermal motion is included.

Main lines, in order of falling intensity (10 to 90 degrees two-theta):
hkl  2theta  Rel. int.
2 2 0  28.41  100.0
2 0 4  30.75  80.3
3 2 1  36.94  40.1
4 0 2  42.35  22.7
2 2 8  56.07  21.6
4 4 8  78.64  19.2
4 2 4  51.79  18.0
0 0 8  47.27  17.7
4 4 4  64.02  17.5
3 1 0  31.84  15.9

Structural model:
```
data_Tb5NdSmTh2
_chemical_formula_sum 'Tb20 Nd4 Sm4 Th8'
_cell_length_a 8.887
_cell_length_b 8.887
_cell_length_c 15.382
_cell_angle_alpha 90.00
_cell_angle_beta 90.00
_cell_angle_gamma 90.00
_space_group_name_H-M_alt 'I 4/m c m'
_space_group_IT_number 140
_space_group_name_Hall '-I 4 2c'
loop_
_atom_site_label
_atom_site_fract_x
_atom_site_fract_y
_atom_site_fract_z
Tb1 0.000 0.000 0.000
Tb2 0.207 0.293 0.137
Nd1 0.000 0.000 0.250
Sm1 0.000 0.500 0.250
Th1 0.119 0.381 0.500
```



Entry 6:
Diffraction record for Tb2NdSmTh. The powder diffractogram is theoretical, not measured: it uses a DFT-relaxed cell (PBE, Alexandria) and CuKα.
No peak broadening, texture or thermal motion is included.

Main lines, in order of falling intensity (10 to 90 degrees two-theta):
hkl  2theta  Rel. int.
2 0 2  33.10  100.0
0 4 0  29.78  79.0
2 4 2  45.11  77.2
1 3 2  35.74  64.7
1 1 2  28.63  54.4
3 3 0  38.64  49.4
3 1 0  32.10  48.4
0 2 0  14.76  40.8
0 2 2  29.65  36.1
2 2 0  25.50  35.3

Structural model:
```
data_Tb2NdSmTh
_chemical_formula_sum 'Tb8 Nd4 Sm4 Th4'
_cell_length_a 8.600
_cell_length_b 12.002
_cell_length_c 6.966
_cell_angle_alpha 90.00
_cell_angle_beta 90.00
_cell_angle_gamma 90.00
_space_group_name_H-M_alt 'C m c m'
_space_group_IT_number 63
_space_group_name_Hall '-C 2c 2'
loop_
_atom_site_label
_atom_site_fract_x
_atom_site_fract_y
_atom_site_fract_z
Tb1 0.183 0.000 0.000
Nd1 0.000 0.232 0.250
Sm1 0.000 0.229 0.750
Th1 0.000 0.499 0.750
```



Which formula does entry 1 have? Tb3Nd2Sm9



Copy entry 2 word for word.
Diffraction record for Tb3Nd4Sm4. The powder diffractogram is theoretical, not measured: it uses a DFT-relaxed cell (PBE, Alexandria) and CuKα.
No peak broadening, texture or thermal motion is included.

Main lines, in order of falling intensity (10 to 90 degrees two-theta):
hkl  2theta  Rel. int.
1 1 4  30.87  100.0
0 3 3  30.61  47.3
1 2 1  31.09  43.7
1 5 4  56.90  39.9
0 0 8  32.70  22.9
1 2 7  42.48  20.6
1 3 2  38.38  15.2
0 3 5  34.81  14.3
2 3 3  59.72  14.2
2 0 0  49.95  13.6

Structural model:
```
data_Tb3Nd4Sm4
_chemical_formula_sum 'Tb6 Nd8 Sm8'
_cell_length_a 3.652
_cell_length_b 9.561
_cell_length_c 21.906
_cell_angle_alpha 90.00
_cell_angle_beta 90.00
_cell_angle_gamma 90.00
_space_group_name_H-M_alt 'I m m m'
_space_group_IT_number 71
_space_group_name_Hall '-I 2 2'
loop_
_atom_site_label
_atom_site_fract_x
_atom_site_fract_y
_atom_site_fract_z
Tb1 0.000 0.000 0.000
Tb2 0.000 0.500 0.107
Nd1 0.000 0.324 0.356
Sm1 0.000 0.000 0.261
Sm2 0.000 0.185 0.500
```